Starting from a DFT-relaxed cell (GGA+U, Alexandria), the powder diffraction line list of Na2MnInSi2O9 was simulated for copper Kα.

Crystal structure
Lattice parameters (Å, degrees): 16.253 7.323 7.356 90.00 90.00 90.00
Space group Cmc2_1 (No. 36)
Inequivalent atoms, fractional coordinates:
Na 0.223 0.046 0.000 [8 per cell]
Mn 0.000 0.350 0.911 [4 per cell]
In 0.000 0.040 0.512 [4 per cell]
Si 0.123 0.307 0.262 [8 per cell]
O 0.000 0.143 0.778 [4 per cell]
O 0.077 0.224 0.076 [8 per cell]
O 0.081 0.500 0.331 [8 per cell]
O 0.111 0.155 0.422 [8 per cell]
O 0.219 0.342 0.218 [8 per cell]

Main lines, most intense first (2θ = 5–70°):
hkl	Position (°2θ)	intensity
2 0 0	10.89	100
1 1 2	27.69	43
4 0 2	32.88	33
3 1 1	23.74	28
2 2 1	29.38	24
1 1 0	13.26	23